Diffraction record for Pm12Ni6Sb. The powder diffractogram is theoretical, not measured: it uses a crystal structure in Alexandria, relaxed with GGA-PBE and Cu Kα, 1.54184 Å.
Neutral-atom scattering factors, no anomalous dispersion.

Structural model:
a b c (Å): 8.6624 8.6624 8.6624
angles (deg): 109.47 109.47 109.47
Sites, in units of the cell vectors:
Pm  0.1203  0.3071  0.8132
Pm  0.1868  0.4939  0.3071
Pm  0.1868  0.8797  0.6929
Pm  0.3071  0.1868  0.4939
Pm  0.3071  0.8132  0.1203
Pm  0.4939  0.3071  0.1868
Pm  0.5061  0.6929  0.8132
Pm  0.6929  0.1868  0.8797
Pm  0.6929  0.8132  0.5061
Pm  0.8132  0.1203  0.3071
Pm  0.8132  0.5061  0.6929
Pm  0.8797  0.6929  0.1868
Ni  0.1218  0.5000  0.6218
Ni  0.3782  0.8782  0.5000
Ni  0.5000  0.3782  0.8782
Ni  0.5000  0.6218  0.1218
Ni  0.6218  0.1218  0.5000
Ni  0.8782  0.5000  0.3782
Sb  0.0000  0.0000  0.0000

Largest 10 diffraction maxima, by angle, 2θ = 5–70°:
| 2θ/deg | I/Imax |
| --- | --- |
| 28.21 | 43 |
| 30.97 | 37 |
| 33.52 | 100 |
| 35.91 | 13 |
| 38.17 | 10 |
| 46.28 | 22 |
| 53.41 | 33 |
| 55.09 | 14 |
| 56.73 | 34 |
| 66.05 | 17 |